Entry 1:
Diffraction record for K2SiAgO4. The powder diffraction line list is theoretical, not measured: it uses the GGA-PBE geometry in Alexandria and copper Kα.
No peak broadening, texture or thermal motion is included.

Atomic structure:
Unit cell a=11.4808 b=10.2863 c=6.4375 alpha=83.30 beta=62.85 gamma=33.84
Fractional coordinates of all 16 atoms:
K  0.0574  0.0574  0.6926
K  0.3074  0.3074  0.9426
K  0.6926  0.6926  0.0574
K  0.9426  0.9426  0.3074
Si  0.3750  0.3750  0.3750
Si  0.6250  0.6250  0.6250
Ag  0.1250  0.1250  0.1250
Ag  0.8750  0.8750  0.8750
O  0.0637  0.6004  0.5129
O  0.3230  0.5129  0.6004
O  0.3996  0.9363  0.6770
O  0.4871  0.6770  0.9363
O  0.5129  0.3230  0.0637
O  0.6004  0.0637  0.3230
O  0.6770  0.4871  0.3996
O  0.9363  0.3996  0.4871

Most intense lines, 10° ≤ 2θ ≤ 90°, by angle:
- 2θ 17.7, rel. 99
- 2θ 17.9, rel. 100
- 2θ 18.3, rel. 46
- 2θ 31.2, rel. 82
- 2θ 35.8, rel. 67
- 2θ 36.2, rel. 54

Entry 2:
Diffraction record for K2AgSn3O8. The powder diffraction line list is theoretical, not measured: it uses the GGA-PBE geometry in Alexandria and copper Kα.
No peak broadening, texture or thermal motion is included.

Atomic structure:
Unit cell a=7.6236 b=7.6236 c=7.6236 alpha=50.57 beta=50.57 gamma=50.57
Fractional coordinates of all 14 atoms:
K  0.0000  0.0000  0.0000
K  0.3539  0.3539  0.3539
Ag  0.5140  0.5140  0.5140
Sn  0.5009  0.9984  0.9984
Sn  0.9984  0.5009  0.9984
Sn  0.9984  0.9984  0.5009
O  0.1864  0.7412  0.7412
O  0.2217  0.2217  0.2217
O  0.2680  0.2680  0.8026
O  0.2680  0.8026  0.2680
O  0.7412  0.1864  0.7412
O  0.7412  0.7412  0.1864
O  0.7765  0.7765  0.7765
O  0.8026  0.2680  0.2680

Most intense lines, 10° ≤ 2θ ≤ 90°, by angle:
- 2θ 13.4, rel. 100
- 2θ 32.1, rel. 33
- 2θ 33.0, rel. 24
- 2θ 36.6, rel. 40
- 2θ 45.3, rel. 22
- 2θ 56.6, rel. 22

Entry 3:
Diffraction record for KAg2TeO4. The powder diffraction line list is theoretical, not measured: it uses the GGA-PBE geometry in Alexandria and copper Kα.
No peak broadening, texture or thermal motion is included.

Atomic structure:
Unit cell a=6.8548 b=7.1511 c=7.5112 alpha=116.89 beta=115.15 gamma=92.12
Fractional coordinates of all 16 atoms:
K  0.0000  0.0000  0.0000
K  0.0000  0.0000  0.5000
Ag  0.0000  0.5000  0.0000
Ag  0.5000  0.0000  0.0000
Ag  0.5000  0.0000  0.5000
Ag  0.5000  0.5000  0.0000
Te  0.0000  0.5000  0.5000
Te  0.5000  0.5000  0.5000
O  0.1394  0.8032  0.7103
O  0.1400  0.4957  0.3028
O  0.2997  0.4395  0.6618
O  0.4271  0.1637  0.3158
O  0.5729  0.8363  0.6842
O  0.7003  0.5605  0.3382
O  0.8600  0.5043  0.6972
O  0.8606  0.1968  0.2897

Most intense lines, 10° ≤ 2θ ≤ 90°, by angle:
- 2θ 29.2, rel. 100
- 2θ 29.5, rel. 86
- 2θ 30.0, rel. 85
- 2θ 30.5, rel. 92
- 2θ 30.7, rel. 64
- 2θ 35.6, rel. 47